Calculated powder diffractogram
Compound: Li3V4P6O24
Radiation: Cu Ka
Structure: the GGA+U geometry in Alexandria
Neutral-atom scattering factors, no anomalous dispersion.

Top 12 peaks for 10 to 80 degrees two-theta, sorted by position:
2θ = 14.4°, d 6.167, intensity 36
2θ = 15.5°, d 5.734, intensity 10
2θ = 15.9°, d 5.571, intensity 13
2θ = 16.1°, d 5.508, intensity 100
2θ = 25.4°, d 3.509, intensity 11
2θ = 26.2°, d 3.398, intensity 9
2θ = 28.9°, d 3.085, intensity 34
2θ = 29.2°, d 3.056, intensity 26
2θ = 32.5°, d 2.754, intensity 27
2θ = 32.9°, d 2.723, intensity 12
2θ = 34.1°, d 2.632, intensity 11
2θ = 35.4°, d 2.534, intensity 11

Crystal structure
a = 6.4186 Å, b = 8.3801 Å, c = 8.8955 Å
α = 91.28°, β = 107.27°, γ = 105.85°
Space group P-1 (No. 2)
One atom of each set of equivalent atoms:
Li  0.0000  0.0000  0.0000 x1
Li  0.2296  0.7645  0.1861 x2
V  0.1293  0.8666  0.5601 x2
V  0.3662  0.4423  0.1147 x2
P  0.1159  0.6401  0.8479 x2
P  0.2496  0.2091  0.7798 x2
P  0.3474  0.1364  0.3429 x2
O  0.0389  0.2390  0.6507 x2
O  0.1041  0.5015  0.1602 x2
O  0.1089  0.6797  0.6764 x2
O  0.1550  0.7912  0.9569 x2
O  0.1819  0.1005  0.4488 x2
O  0.2239  0.2314  0.9446 x2
O  0.2530  0.0271  0.7417 x2
O  0.2575  0.0020  0.2066 x2
O  0.3197  0.5572  0.9102 x2
O  0.3671  0.3123  0.2849 x2
O  0.4122  0.8531  0.5420 x2
O  0.4756  0.3298  0.7705 x2

---

Calculated powder diffractogram
Compound: Li2VPO5
Radiation: Cu Ka
Structure: the GGA+U geometry in Alexandria
Neutral-atom scattering factors, no anomalous dispersion.

Top 12 peaks for 10 to 80 degrees two-theta, sorted by position:
2θ = 21.3°, d 4.176, intensity 81
2θ = 25.1°, d 3.544, intensity 41
2θ = 25.3°, d 3.521, intensity 36
2θ = 26.6°, d 3.351, intensity 100
2θ = 27.2°, d 3.273, intensity 93
2θ = 34.3°, d 2.614, intensity 50
2θ = 34.8°, d 2.576, intensity 53
2θ = 38.4°, d 2.342, intensity 24
2θ = 45.6°, d 1.989, intensity 24
2θ = 46.1°, d 1.970, intensity 28
2θ = 47.0°, d 1.934, intensity 23
2θ = 54.8°, d 1.676, intensity 24

Crystal structure
a = 6.5465 Å, b = 4.1757 Å, c = 6.7029 Å
α = 90.00°, β = 90.00°, γ = 90.00°
Space group Pmn2_1 (No. 31)
One atom of each set of equivalent atoms:
Li  0.2287  0.0330  0.0000 x4
V  0.0000  0.6170  0.2293 x2
P  0.0000  0.4964  0.7300 x2
O  0.0000  0.1675  0.2061 x2
O  0.0000  0.7051  0.5393 x2
O  0.0000  0.7093  0.9181 x2
O  0.1930  0.2796  0.7316 x4

---

Calculated powder diffractogram
Compound: LiVP3O9
Radiation: Cu Ka
Structure: the GGA+U geometry in Alexandria
Neutral-atom scattering factors, no anomalous dispersion.

Top 12 peaks for 10 to 80 degrees two-theta, sorted by position:
2θ = 15.9°, d 5.565, intensity 100
2θ = 17.1°, d 5.187, intensity 62
2θ = 23.4°, d 3.794, intensity 16
2θ = 29.2°, d 3.063, intensity 31
2θ = 29.8°, d 2.995, intensity 7
2θ = 32.2°, d 2.783, intensity 26
2θ = 38.3°, d 2.351, intensity 16
2θ = 42.0°, d 2.150, intensity 7
2θ = 44.4°, d 2.038, intensity 10
2θ = 49.1°, d 1.855, intensity 8
2θ = 55.7°, d 1.650, intensity 10
2θ = 64.8°, d 1.439, intensity 8

Crystal structure
a = 10.3740 Å, b = 10.3740 Å, c = 7.0893 Å
α = 90.00°, β = 90.00°, γ = 120.00°
Space group R3 (No. 146, hexagonal axes)
One atom of each set of equivalent atoms:
Li  0.0000  0.0000  0.0000 x3
V  0.0000  0.0000  0.6316 x3
P  0.0042  0.5692  0.1264 x9
O  0.0126  0.6318  0.9164 x9
O  0.0760  0.2024  0.4783 x9
O  0.1812  0.1133  0.8361 x9

---

Calculated powder diffractogram
Compound: LiV2P5O16
Radiation: Cu Ka
Structure: the GGA+U geometry in Alexandria
Neutral-atom scattering factors, no anomalous dispersion.

Top 12 peaks for 10 to 80 degrees two-theta, sorted by position:
2θ = 13.9°, d 6.388, intensity 75
2θ = 16.1°, d 5.511, intensity 25
2θ = 18.8°, d 4.721, intensity 55
2θ = 19.9°, d 4.472, intensity 22
2θ = 22.3°, d 3.981, intensity 100
2θ = 23.8°, d 3.738, intensity 27
2θ = 26.1°, d 3.421, intensity 12
2θ = 28.4°, d 3.147, intensity 25
2θ = 32.1°, d 2.792, intensity 32
2θ = 32.4°, d 2.764, intensity 15
2θ = 33.1°, d 2.706, intensity 21
2θ = 39.8°, d 2.263, intensity 12

Crystal structure
a = 5.0873 Å, b = 6.7878 Å, c = 18.8825 Å
α = 90.00°, β = 90.23°, γ = 90.00°
Space group Pc (No. 7)
One atom of each set of equivalent atoms:
Li  0.0000  0.1322  0.0000 x2
V  0.4707  0.3211  0.1230 x2
V  0.9928  0.3138  0.4379 x2
P  0.4765  0.0193  0.3984 x2
P  0.4996  0.3770  0.9516 x2
P  0.7169  0.2407  0.2811 x2
P  0.9537  0.3675  0.6077 x2
P  0.9817  0.0353  0.1620 x2
O  0.0450  0.2612  0.5403 x2
O  0.1442  0.4833  0.1381 x2
O  0.1947  0.0552  0.4205 x2
O  0.2693  0.0735  0.1491 x2
O  0.3346  0.4545  0.4225 x2
O  0.3723  0.2750  0.0159 x2
O  0.5007  0.2122  0.8879 x2
O  0.5119  0.0920  0.3183 x2
O  0.5686  0.3590  0.2277 x2
O  0.6724  0.4419  0.6002 x2
O  0.6930  0.0973  0.4456 x2
O  0.7918  0.4229  0.9620 x2
O  0.7972  0.1349  0.1093 x2
O  0.8696  0.3498  0.3370 x2
O  0.9155  0.0920  0.2425 x2
O  0.9331  0.1941  0.6675 x2

---

Calculated powder diffractogram
Compound: LiVP2O7
Radiation: Cu Ka
Structure: the GGA+U geometry in Alexandria
Neutral-atom scattering factors, no anomalous dispersion.

Top 12 peaks for 10 to 80 degrees two-theta, sorted by position:
2θ = 15.7°, d 5.628, intensity 34
2θ = 18.2°, d 4.875, intensity 85
2θ = 18.4°, d 4.813, intensity 11
2θ = 21.0°, d 4.225, intensity 100
2θ = 21.2°, d 4.182, intensity 55
2θ = 26.8°, d 3.331, intensity 20
2θ = 29.9°, d 2.984, intensity 34
2θ = 31.6°, d 2.830, intensity 13
2θ = 33.6°, d 2.670, intensity 22
2θ = 37.9°, d 2.374, intensity 16
2θ = 45.6°, d 1.991, intensity 15
2θ = 46.9°, d 1.936, intensity 20

Crystal structure
a = 5.8566 Å, b = 8.4505 Å, c = 6.2113 Å
α = 90.00°, β = 106.07°, γ = 90.00°
Space group P2_1 (No. 4)
One atom of each set of equivalent atoms:
Li  0.2223  0.0000  0.4422 x2
V  0.3793  0.6223  0.2640 x2
P  0.0792  0.1938  0.8006 x2
P  0.4949  0.2336  0.2006 x2
O  0.0534  0.5339  0.2112 x2
O  0.1241  0.8150  0.2672 x2
O  0.2181  0.2232  0.0605 x2
O  0.2596  0.1978  0.6647 x2
O  0.3534  0.6810  0.9499 x2
O  0.4589  0.9043  0.7187 x2
O  0.4819  0.6174  0.6041 x2

---

Calculated powder diffractogram
Compound: Li4VP2O9
Radiation: Cu Ka
Structure: the GGA+U geometry in Alexandria
Neutral-atom scattering factors, no anomalous dispersion.

Top 12 peaks for 10 to 80 degrees two-theta, sorted by position:
2θ = 12.3°, d 7.216, intensity 100
2θ = 17.4°, d 5.103, intensity 38
2θ = 18.9°, d 4.700, intensity 60
2θ = 25.7°, d 3.462, intensity 54
2θ = 27.6°, d 3.228, intensity 76
2θ = 28.8°, d 3.104, intensity 35
2θ = 28.8°, d 3.100, intensity 36
2θ = 35.2°, d 2.552, intensity 28
2θ = 36.1°, d 2.487, intensity 28
2θ = 53.0°, d 1.729, intensity 27
2θ = 53.3°, d 1.717, intensity 15
2θ = 61.1°, d 1.516, intensity 16

Crystal structure
a = 6.8697 Å, b = 14.4734 Å, c = 7.1977 Å
α = 90.00°, β = 90.00°, γ = 90.00°
Space group Cmme (No. 67)
One atom of each set of equivalent atoms:
Li  0.0000  0.1190  0.2318 x8
Li  0.2500  0.0000  0.5000 x4
Li  0.2500  0.2500  0.0000 x4
V  0.2500  0.2500  0.5000 x4
P  0.0000  0.1112  0.7720 x8
O  0.0000  0.0092  0.7157 x8
O  0.0000  0.1432  0.9749 x8
O  0.0000  0.2500  0.4055 x4
O  0.1915  0.1530  0.6842 x16

---

Number 1 is which compound? Li3V4P6O24